(1)
Diffraction record for HfMg14ZnO16. The powder diffractogram is calculated, not measured: it uses the PBE geometry in the Materials Project and Cu Kα X-rays.

Principal peaks in the range 2θ from 10° to 80°, sorted by position:
- hkl 0 1 0, 10.19 deg, I 100
- hkl 1 1 0, 23.10 deg, I 48
- hkl 0 3 0, 30.89 deg, I 51
- hkl 1 2 2, 35.81 deg, I 77
- hkl 0 0 4, 41.06 deg, I 82
- hkl 0 4 0, 41.62 deg, I 79
- hkl 2 0 0, 42.10 deg, I 77
- hkl 2 4 0, 60.70 deg, I 50

Crystal structure
```
data_HfMg14ZnO16
_cell_length_a 4.293
_cell_length_b 8.680
_cell_length_c 8.794
_cell_angle_alpha 90.00
_cell_angle_beta 90.00
_cell_angle_gamma 90.00
_space_group_name_H-M_alt 'P m m m'
_space_group_IT_number 47
loop_
_space_group_symop_operation_xyz
'x,y,z'
'-x,-y,-z'
'-x,-y,z'
'x,y,-z'
'x,-y,-z'
'-x,y,z'
'-x,y,-z'
'x,-y,z'
loop_
_atom_site_label
_atom_site_fract_x
_atom_site_fract_y
_atom_site_fract_z
Hf1 0.000 0.000 0.000
Mg1 0.000 0.255 0.259
Mg2 0.000 0.500 0.000
Mg3 0.000 0.500 0.500
Mg4 0.500 0.000 0.263
Mg5 0.500 0.252 0.500
Mg6 0.500 0.259 0.000
Mg7 0.500 0.500 0.252
Zn1 0.000 0.000 0.500
O1 0.000 0.000 0.237
O2 0.000 0.251 0.000
O3 0.000 0.269 0.500
O4 0.000 0.500 0.244
O5 0.500 0.000 0.000
O6 0.500 0.000 0.500
O7 0.500 0.250 0.248
O8 0.500 0.500 0.000
O9 0.500 0.500 0.500
```



(2)
Diffraction record for HfMg6Sb. The powder diffractogram is calculated, not measured: it uses the PBE geometry in the Materials Project and Cu Kα X-rays.

Principal peaks in the range 2θ from 10° to 80°, sorted by position:
- hkl 0 0 2, 15.86 deg, I 74
- hkl 1 0 0, 16.65 deg, I 73
- hkl 1 0 2, 23.08 deg, I 63
- hkl 2 0 0, 33.63 deg, I 81
- hkl 1 2 0, 33.98 deg, I 24
- hkl 1 0 4, 36.32 deg, I 57
- hkl 1 2 2, 37.71 deg, I 100
- hkl 2 2 2, 48.29 deg, I 29

Crystal structure
```
data_HfMg6Sb
_cell_length_a 5.324
_cell_length_b 6.074
_cell_length_c 11.175
_cell_angle_alpha 90.00
_cell_angle_beta 90.00
_cell_angle_gamma 90.00
_space_group_name_H-M_alt 'A m m 2'
_space_group_IT_number 38
loop_
_space_group_symop_operation_xyz
'x,y,z'
'-x,-y,z'
'-x,y,z'
'x,-y,z'
'x,y+1/2,z+1/2'
'-x,-y+1/2,z+1/2'
'-x,y+1/2,z+1/2'
'x,-y+1/2,z+1/2'
loop_
_atom_site_label
_atom_site_fract_x
_atom_site_fract_y
_atom_site_fract_z
Hf1 0.000 0.000 0.000
Mg1 0.000 0.248 0.248
Mg2 0.500 0.000 0.161
Mg3 0.500 0.000 0.666
Mg4 0.500 0.243 0.912
Sb1 0.000 0.000 0.498
```



(3)
Diffraction record for HfMg14Sb. The powder diffractogram is calculated, not measured: it uses the PBE geometry in the Materials Project and Cu Kα X-rays.

Principal peaks in the range 2θ from 10° to 80°, sorted by position:
- hkl 1 0 0, 16.09 deg, I 70
- hkl 0 0 2, 17.02 deg, I 20
- hkl 1 0 2, 23.51 deg, I 54
- hkl 2 0 0, 32.52 deg, I 32
- hkl 1 1 2, 33.00 deg, I 24
- hkl 0 0 4, 34.43 deg, I 26
- hkl 2 0 2, 36.92 deg, I 100
- hkl 2 0 4, 48.08 deg, I 21

Crystal structure
```
data_HfMg14Sb
_cell_length_a 6.3593
_cell_length_b 6.3593
_cell_length_c 10.4185
_cell_angle_alpha 90.00
_cell_angle_beta 90.00
_cell_angle_gamma 120.00
_space_group_name_H-M_alt 'P -6 m 2'
_space_group_IT_number 187
_space_group_name_Hall 'P -6 2'
loop_
_atom_site_label
_atom_site_fract_x
_atom_site_fract_y
_atom_site_fract_z
Hf1 0.0000 0.0000 0.0000
Mg1 0.0050 0.5025 0.0000
Mg2 0.1629 0.3259 0.2459
Mg3 0.5013 0.0026 0.5000
Mg4 0.6667 0.3333 0.2448
Sb1 0.0000 0.0000 0.5000
```



(4)
Diffraction record for HfMg14Sb. The powder diffractogram is calculated, not measured: it uses the PBE geometry in the Materials Project and Cu Kα X-rays.

Principal peaks in the range 2θ from 10° to 80°, sorted by position:
- hkl 0 0 2, 15.88 deg, I 35
- hkl 2 0 0, 17.16 deg, I 30
- hkl 1 0 2, 18.07 deg, I 53
- hkl 2 0 2, 23.46 deg, I 29
- hkl 0 2 2, 32.73 deg, I 32
- hkl 4 0 0, 34.72 deg, I 39
- hkl 2 0 4, 36.60 deg, I 53
- hkl 2 2 2, 37.18 deg, I 100

Crystal structure
```
data_HfMg14Sb
_cell_length_a 10.336
_cell_length_b 6.278
_cell_length_c 11.160
_cell_angle_alpha 90.00
_cell_angle_beta 90.00
_cell_angle_gamma 90.00
_space_group_name_H-M_alt 'A m m 2'
_space_group_IT_number 38
loop_
_space_group_symop_operation_xyz
'x,y,z'
'-x,-y,z'
'-x,y,z'
'x,-y,z'
'x,y+1/2,z+1/2'
'-x,-y+1/2,z+1/2'
'-x,y+1/2,z+1/2'
'x,-y+1/2,z+1/2'
loop_
_atom_site_label
_atom_site_fract_x
_atom_site_fract_y
_atom_site_fract_z
Hf1 0.000 0.000 0.000
Mg1 0.000 0.248 0.249
Mg2 0.249 0.000 0.165
Mg3 0.251 0.000 0.668
Mg4 0.251 0.247 0.916
Mg5 0.500 0.000 0.000
Mg6 0.500 0.000 0.500
Mg7 0.500 0.250 0.250
Sb1 0.000 0.000 0.501
```



(5)
Diffraction record for HfMg6Sb. The powder diffractogram is calculated, not measured: it uses the PBE geometry in the Materials Project and Cu Kα X-rays.

Principal peaks in the range 2θ from 10° to 80°, sorted by position:
- hkl 0 1 1, 15.94 deg, I 100
- hkl 1 1 1, 23.67 deg, I 28
- hkl 1 0 2, 23.93 deg, I 36
- hkl 1 1 3, 33.36 deg, I 43
- hkl 2 0 0, 35.18 deg, I 32
- hkl 1 2 2, 36.81 deg, I 82
- hkl 1 0 4, 37.53 deg, I 43
- hkl 2 2 6, 70.10 deg, I 30

Crystal structure
```
data_HfMg6Sb
_cell_length_a 5.102
_cell_length_b 6.475
_cell_length_c 10.859
_cell_angle_alpha 90.00
_cell_angle_beta 90.00
_cell_angle_gamma 90.00
_space_group_name_H-M_alt 'A m m 2'
_space_group_IT_number 38
loop_
_space_group_symop_operation_xyz
'x,y,z'
'-x,-y,z'
'-x,y,z'
'x,-y,z'
'x,y+1/2,z+1/2'
'-x,-y+1/2,z+1/2'
'-x,y+1/2,z+1/2'
'x,-y+1/2,z+1/2'
loop_
_atom_site_label
_atom_site_fract_x
_atom_site_fract_y
_atom_site_fract_z
Hf1 0.000 0.000 0.000
Mg1 0.000 0.000 0.496
Mg2 0.000 0.244 0.750
Mg3 0.500 0.000 0.664
Mg4 0.500 0.249 0.413
Sb1 0.500 0.000 0.159
```



(6)
Diffraction record for HfMg14Si. The powder diffractogram is calculated, not measured: it uses the PBE geometry in the Materials Project and Cu Kα X-rays.

Principal peaks in the range 2θ from 10° to 80°, sorted by position:
- hkl 0 1 1, 16.49 deg, I 33
- hkl 1 0 2, 18.27 deg, I 30
- hkl 1 1 1, 18.65 deg, I 50
- hkl 2 1 1, 24.02 deg, I 29
- hkl 0 2 2, 33.34 deg, I 43
- hkl 4 0 0, 35.11 deg, I 41
- hkl 2 0 4, 37.02 deg, I 56
- hkl 2 2 2, 37.82 deg, I 100

Crystal structure
```
data_HfMg14Si
_cell_length_a 10.224
_cell_length_b 6.154
_cell_length_c 11.036
_cell_angle_alpha 90.00
_cell_angle_beta 90.00
_cell_angle_gamma 90.00
_space_group_name_H-M_alt 'A m m 2'
_space_group_IT_number 38
loop_
_space_group_symop_operation_xyz
'x,y,z'
'-x,-y,z'
'-x,y,z'
'x,-y,z'
'x,y+1/2,z+1/2'
'-x,-y+1/2,z+1/2'
'-x,y+1/2,z+1/2'
'x,-y+1/2,z+1/2'
loop_
_atom_site_label
_atom_site_fract_x
_atom_site_fract_y
_atom_site_fract_z
Hf1 0.000 0.000 0.000
Mg1 0.000 0.247 0.247
Mg2 0.245 0.000 0.660
Mg3 0.246 0.249 0.414
Mg4 0.250 0.000 0.161
Mg5 0.500 0.000 0.497
Mg6 0.500 0.000 0.996
Mg7 0.500 0.249 0.747
Si1 0.000 0.000 0.497
```